No. 1
Structure and theoretical X-ray diffraction stick pattern of Pr3AgRu (a PBE-relaxed structure; Cu Kα).
Kinematic intensities with the Lorentz-polarization factor, no thermal factor.

Main lines, sorted by position (2θ = 15–90°):
- 2θ = 28.2°, rel. 28
- 2θ = 29.3°, rel. 100
- 2θ = 32.5°, rel. 69
- 2θ = 33.5°, rel. 44
- 2θ = 33.8°, rel. 97
- 2θ = 34.0°, rel. 25
- 2θ = 35.3°, rel. 77
- 2θ = 38.2°, rel. 50
- 2θ = 51.8°, rel. 28
- 2θ = 54.1°, rel. 37

Structure:
Lattice parameters (Å, degrees): 9.5074 8.5836 6.2294 78.08 62.05 39.87
Fractional positions:
Pr1 0.1904 0.1904 0.8096
Pr2 0.2036 0.5757 0.4243
Pr3 0.4243 0.7964 0.2036
Pr4 0.5757 0.2036 0.7964
Pr5 0.7964 0.4243 0.5757
Pr6 0.8096 0.8096 0.1904
Ag1 0.2070 0.7930 0.7930
Ag2 0.7930 0.2070 0.2070
Ru1 0.2500 0.2500 0.2500
Ru2 0.7500 0.7500 0.7500

---

No. 2
Structure and theoretical X-ray diffraction stick pattern of PrSmAgRu (a PBE-relaxed structure; Cu Kα).
Kinematic intensities with the Lorentz-polarization factor, no thermal factor.

Main lines, sorted by position (2θ = 15–90°):
- 2θ = 34.4°, rel. 100
- 2θ = 36.1°, rel. 47
- 2θ = 46.9°, rel. 8
- 2θ = 52.0°, rel. 16
- 2θ = 60.6°, rel. 15
- 2θ = 63.8°, rel. 32
- 2θ = 72.6°, rel. 9
- 2θ = 76.6°, rel. 5
- 2θ = 86.7°, rel. 7
- 2θ = 87.7°, rel. 7

Structure:
Lattice parameters (Å, degrees): 3.5196 3.5196 7.7521 90.00 90.00 90.00
Fractional positions:
Pr1 0.0000 0.0000 0.0000
Sm1 0.0000 0.0000 0.5533
Ag1 0.5000 0.5000 0.2866
Ru1 0.5000 0.5000 0.7700

---

No. 3
Structure and theoretical X-ray diffraction stick pattern of PrAg5S4 (a PBE-relaxed structure; Cu Kα).
Kinematic intensities with the Lorentz-polarization factor, no thermal factor.

Main lines, sorted by position (2θ = 15–90°):
- 2θ = 27.2°, rel. 52
- 2θ = 28.2°, rel. 100
- 2θ = 31.0°, rel. 64
- 2θ = 34.3°, rel. 49
- 2θ = 38.1°, rel. 36
- 2θ = 42.5°, rel. 32
- 2θ = 44.3°, rel. 24
- 2θ = 44.4°, rel. 21
- 2θ = 46.8°, rel. 37
- 2θ = 49.2°, rel. 18

Structure:
Lattice parameters (Å, degrees): 4.2735 7.4448 8.1834 115.22 102.54 95.86
Fractional positions:
Pr1 0.0000 0.0000 0.0000
Ag1 0.0000 0.5000 0.0000
Ag2 0.3105 0.5908 0.6433
Ag3 0.3323 0.0452 0.6414
Ag4 0.6677 0.9548 0.3586
Ag5 0.6895 0.4092 0.3567
S1 0.2086 0.2064 0.4131
S2 0.4465 0.7373 0.0007
S3 0.5535 0.2627 0.9993
S4 0.7914 0.7936 0.5869

---

No. 4
Structure and theoretical X-ray diffraction stick pattern of PrTlAgS2 (a PBE-relaxed structure; Cu Kα).
Kinematic intensities with the Lorentz-polarization factor, no thermal factor.

Main lines, sorted by position (2θ = 15–90°):
- 2θ = 18.6°, rel. 49
- 2θ = 21.4°, rel. 30
- 2θ = 24.0°, rel. 26
- 2θ = 26.0°, rel. 47
- 2θ = 28.3°, rel. 100
- 2θ = 31.1°, rel. 47
- 2θ = 33.6°, rel. 58
- 2θ = 34.1°, rel. 100
- 2θ = 49.8°, rel. 23
- 2θ = 51.1°, rel. 38

Structure:
Lattice parameters (Å, degrees): 5.9422 6.0266 8.1145 90.00 104.49 90.00
Fractional positions:
Pr1 0.0000 0.0066 0.2500
Pr2 0.0000 0.9934 0.7500
Tl1 0.5000 0.3438 0.2500
Tl2 0.5000 0.6562 0.7500
Ag1 0.0000 0.5000 0.0000
Ag2 0.0000 0.5000 0.5000
S1 0.2678 0.1911 0.5527
S2 0.2678 0.8089 0.0527
S3 0.7322 0.1911 0.9473
S4 0.7322 0.8089 0.4473

---

No. 5
Structure and theoretical X-ray diffraction stick pattern of Pr2TmAgS5 (a PBE-relaxed structure; Cu Kα).
Kinematic intensities with the Lorentz-polarization factor, no thermal factor.

Main lines, sorted by position (2θ = 15–90°):
- 2θ = 24.5°, rel. 70
- 2θ = 27.3°, rel. 36
- 2θ = 27.4°, rel. 49
- 2θ = 28.4°, rel. 31
- 2θ = 32.0°, rel. 100
- 2θ = 33.0°, rel. 58
- 2θ = 38.1°, rel. 56
- 2θ = 41.7°, rel. 26
- 2θ = 45.3°, rel. 32
- 2θ = 49.9°, rel. 26

Structure:
Lattice parameters (Å, degrees): 8.6015 8.6015 12.0746 90.00 90.00 153.10
Fractional positions:
Pr1 0.1098 0.8902 0.5000
Pr2 0.1264 0.8736 0.1193
Pr3 0.8736 0.1264 0.6193
Pr4 0.8902 0.1098 0.0000
Tm1 0.1966 0.8034 0.8221
Tm2 0.8034 0.1966 0.3221
Ag1 0.4563 0.5437 0.2778
Ag2 0.5437 0.4563 0.7778
S1 0.0492 0.9508 0.8949
S2 0.2862 0.7138 0.4765
S3 0.3057 0.6943 0.1647
S4 0.3575 0.6425 0.8147
S5 0.4977 0.5023 0.5867
S6 0.5023 0.4977 0.0867
S7 0.6425 0.3575 0.3147
S8 0.6943 0.3057 0.6647
S9 0.7138 0.2862 0.9765
S10 0.9508 0.0492 0.3949

---

No. 6
Structure and theoretical X-ray diffraction stick pattern of Pr4AgSb (a PBE-relaxed structure; Cu Kα).
Kinematic intensities with the Lorentz-polarization factor, no thermal factor.

Main lines, sorted by position (2θ = 15–90°):
- 2θ = 25.9°, rel. 26
- 2θ = 28.4°, rel. 47
- 2θ = 31.3°, rel. 79
- 2θ = 31.9°, rel. 41
- 2θ = 33.0°, rel. 100
- 2θ = 33.9°, rel. 89
- 2θ = 37.9°, rel. 24
- 2θ = 42.8°, rel. 38
- 2θ = 45.3°, rel. 31
- 2θ = 66.6°, rel. 26

Structure:
Lattice parameters (Å, degrees): 11.1527 11.1527 6.5663 90.00 90.00 150.35
Fractional positions:
Pr1 0.0585 0.9415 0.7500
Pr2 0.2093 0.7907 0.5037
Pr3 0.2093 0.7907 0.9963
Pr4 0.3812 0.6188 0.7500
Pr5 0.6188 0.3812 0.2500
Pr6 0.7907 0.2093 0.0037
Pr7 0.7907 0.2093 0.4963
Pr8 0.9415 0.0585 0.2500
Ag1 0.0800 0.9200 0.2500
Ag2 0.9200 0.0800 0.7500
Sb1 0.3486 0.6514 0.2500
Sb2 0.6514 0.3486 0.7500

---

No. 7
Structure and theoretical X-ray diffraction stick pattern of Pr3Sc2Ag3 (a PBE-relaxed structure; Cu Kα).
Kinematic intensities with the Lorentz-polarization factor, no thermal factor.

Main lines, sorted by position (2θ = 15–90°):
- 2θ = 32.8°, rel. 26
- 2θ = 33.5°, rel. 27
- 2θ = 34.1°, rel. 100
- 2θ = 47.6°, rel. 18
- 2θ = 59.4°, rel. 17
- 2θ = 60.4°, rel. 18
- 2θ = 61.5°, rel. 8
- 2θ = 62.0°, rel. 9
- 2θ = 71.9°, rel. 10
- 2θ = 79.9°, rel. 11

Structure:
Lattice parameters (Å, degrees): 3.6144 5.3446 21.8529 90.00 90.00 90.00
Fractional positions:
Pr1 0.0000 0.0000 0.0000
Pr2 0.0000 0.5000 0.1254
Pr3 0.0000 0.5000 0.8746
Pr4 0.5000 0.0000 0.3746
Pr5 0.5000 0.0000 0.6254
Pr6 0.5000 0.5000 0.5000
Sc1 0.0000 0.0000 0.2357
Sc2 0.0000 0.0000 0.7643
Sc3 0.5000 0.5000 0.2643
Sc4 0.5000 0.5000 0.7357
Ag1 0.0000 0.0000 0.5000
Ag2 0.0000 0.5000 0.3690
Ag3 0.0000 0.5000 0.6310
Ag4 0.5000 0.0000 0.1310
Ag5 0.5000 0.0000 0.8690
Ag6 0.5000 0.5000 0.0000

---

No. 8
Structure and theoretical X-ray diffraction stick pattern of Pr4ScAg3 (a PBE-relaxed structure; Cu Kα).
Kinematic intensities with the Lorentz-polarization factor, no thermal factor.

Main lines, sorted by position (2θ = 15–90°):
- 2θ = 32.6°, rel. 26
- 2θ = 32.8°, rel. 27
- 2θ = 33.5°, rel. 100
- 2θ = 46.9°, rel. 19
- 2θ = 49.2°, rel. 8
- 2θ = 58.7°, rel. 18
- 2θ = 59.0°, rel. 19
- 2θ = 60.3°, rel. 9
- 2θ = 60.4°, rel. 9
- 2θ = 70.4°, rel. 11

Structure:
Lattice parameters (Å, degrees): 3.7029 5.4554 10.9947 90.00 90.00 90.00
Fractional positions:
Pr1 0.0000 0.0000 0.0000
Pr2 0.0000 0.0000 0.5000
Pr3 0.0000 0.5000 0.2407
Pr4 0.0000 0.5000 0.7593
Sc1 0.5000 0.5000 0.5000
Ag1 0.5000 0.0000 0.2598
Ag2 0.5000 0.0000 0.7402
Ag3 0.5000 0.5000 0.0000

---

No. 9
Structure and theoretical X-ray diffraction stick pattern of Pr5AgSe4 (a PBE-relaxed structure; Cu Kα).
Kinematic intensities with the Lorentz-polarization factor, no thermal factor.

Main lines, sorted by position (2θ = 15–90°):
- 2θ = 25.4°, rel. 17
- 2θ = 29.3°, rel. 51
- 2θ = 29.5°, rel. 100
- 2θ = 42.1°, rel. 76
- 2θ = 42.2°, rel. 37
- 2θ = 52.2°, rel. 40
- 2θ = 69.0°, rel. 17
- 2θ = 69.3°, rel. 17
- 2θ = 69.4°, rel. 16
- 2θ = 77.1°, rel. 25

Structure:
Lattice parameters (Å, degrees): 7.4224 7.4224 7.4224 99.71 99.71 131.51
Fractional positions:
Pr1 0.0000 0.0000 0.0000
Pr2 0.1934 0.6030 0.7965
Pr3 0.3970 0.1934 0.5904
Pr4 0.6030 0.8066 0.4096
Pr5 0.8066 0.3970 0.2035
Ag1 0.5000 0.5000 0.0000
Se1 0.1007 0.3005 0.4012
Se2 0.3005 0.8993 0.1998
Se3 0.6995 0.1007 0.8002
Se4 0.8993 0.6995 0.5988

---

No. 10
Structure and theoretical X-ray diffraction stick pattern of Pr4Ag2Se7 (a PBE-relaxed structure; Cu Kα).
Kinematic intensities with the Lorentz-polarization factor, no thermal factor.

Main lines, sorted by position (2θ = 15–90°):
- 2θ = 23.9°, rel. 45
- 2θ = 24.4°, rel. 33
- 2θ = 31.1°, rel. 40
- 2θ = 31.4°, rel. 100
- 2θ = 31.6°, rel. 47
- 2θ = 32.2°, rel. 69
- 2θ = 36.7°, rel. 36
- 2θ = 37.1°, rel. 33
- 2θ = 37.2°, rel. 44
- 2θ = 38.0°, rel. 42

Structure:
Lattice parameters (Å, degrees): 7.5131 12.7613 7.9480 90.00 109.66 90.00
Fractional positions:
Pr1 0.0000 0.0540 0.0000
Pr2 0.0000 0.9460 0.5000
Pr3 0.4413 0.1411 0.7871
Pr4 0.4413 0.8589 0.2871
Pr5 0.6468 0.2192 0.3329
Pr6 0.6468 0.7808 0.8329
Pr7 0.9398 0.3697 0.7898
Pr8 0.9398 0.6303 0.2898
Ag1 0.1602 0.2984 0.3015
Ag2 0.1602 0.7016 0.8015
Ag3 0.5606 0.4662 0.1650
Ag4 0.5606 0.5338 0.6650
Se1 0.0169 0.1650 0.6524
Se2 0.0169 0.8350 0.1524
Se3 0.2804 0.0732 0.3696
Se4 0.2804 0.9268 0.8696
Se5 0.3265 0.3087 0.0337
Se6 0.3265 0.6913 0.5337
Se7 0.5048 0.3340 0.5878
Se8 0.5048 0.6660 0.0878
Se9 0.6846 0.0163 0.1703
Se10 0.6846 0.9837 0.6703
Se11 0.8002 0.2483 0.0262
Se12 0.8002 0.7517 0.5262
Se13 0.9005 0.4169 0.4062
Se14 0.9005 0.5831 0.9062

---

No. 11
Structure and theoretical X-ray diffraction stick pattern of Pr8AgTe4Se3 (a PBE-relaxed structure; Cu Kα).
Kinematic intensities with the Lorentz-polarization factor, no thermal factor.

Main lines, sorted by position (2θ = 15–90°):
- 2θ = 28.6°, rel. 100
- 2θ = 40.6°, rel. 36
- 2θ = 41.1°, rel. 38
- 2θ = 49.9°, rel. 6
- 2θ = 50.8°, rel. 20
- 2θ = 59.2°, rel. 12
- 2θ = 66.6°, rel. 15
- 2θ = 67.4°, rel. 17
- 2θ = 74.6°, rel. 12
- 2θ = 74.9°, rel. 6

Structure:
Lattice parameters (Å, degrees): 8.7789 8.7789 8.8943 119.57 119.57 60.01
Fractional positions:
Pr1 0.2385 0.7466 0.7312
Pr2 0.2399 0.2399 0.7209
Pr3 0.2534 0.7615 0.2688
Pr4 0.2539 0.2539 0.2702
Pr5 0.7461 0.7461 0.7298
Pr6 0.7466 0.2385 0.7312
Pr7 0.7601 0.7601 0.2791
Pr8 0.7615 0.2534 0.2688
Ag1 0.5000 0.5000 0.5000
Te1 0.0000 0.0000 0.0000
Te2 0.0000 0.5000 0.0000
Te3 0.5000 0.0000 0.0000
Te4 0.5000 0.5000 0.0000
Se1 0.0000 0.0000 0.5000
Se2 0.0000 0.5000 0.5000
Se3 0.5000 0.0000 0.5000

---

No. 12
Structure and theoretical X-ray diffraction stick pattern of Pr2TlAgSe4 (a PBE-relaxed structure; Cu Kα).
Kinematic intensities with the Lorentz-polarization factor, no thermal factor.

Main lines, sorted by position (2θ = 15–90°):
- 2θ = 21.5°, rel. 35
- 2θ = 24.5°, rel. 20
- 2θ = 28.4°, rel. 60
- 2θ = 30.2°, rel. 100
- 2θ = 32.0°, rel. 26
- 2θ = 35.5°, rel. 25
- 2θ = 36.7°, rel. 34
- 2θ = 41.7°, rel. 54
- 2θ = 41.8°, rel. 34
- 2θ = 60.5°, rel. 18

Structure:
Lattice parameters (Å, degrees): 7.5206 7.5206 15.1733 90.00 90.00 146.61
Fractional positions:
Pr1 0.1321 0.8679 0.5675
Pr2 0.1321 0.8679 0.9325
Pr3 0.8679 0.1321 0.0675
Pr4 0.8679 0.1321 0.4325
Tl1 0.3810 0.6190 0.7500
Tl2 0.6190 0.3810 0.2500
Ag1 0.3404 0.6596 0.2500
Ag2 0.6596 0.3404 0.7500
Se1 0.0515 0.9485 0.7500
Se2 0.2322 0.7678 0.1077
Se3 0.2322 0.7678 0.3923
Se4 0.5000 0.5000 0.0000
Se5 0.5000 0.5000 0.5000
Se6 0.7678 0.2322 0.6077
Se7 0.7678 0.2322 0.8923
Se8 0.9485 0.0515 0.2500